The following is a theoretical powder XRD pattern of TlNiBO4. It was derived from DFT lattice parameters and positions (GGA+U), using Cu Ka.
Lines closer than 0.1° are merged.

Most intense lines, 10 to 90 degrees two-theta, sorted by position:
- 24.3 deg, d 3.662, I = 1000
- 25.1 deg, d 3.542, I = 322
- 33.8 deg, d 2.649, I = 339
- 34.8 deg, d 2.578, I = 445
- 35.7 deg, d 2.516, I = 518
- 42.6 deg, d 2.121, I = 279
- 44.7 deg, d 2.028, I = 245
- 47.9 deg, d 1.900, I = 280

Structural model:
Cell: 5.297 8.575 6.285 Å, 90.00 90.00 90.00°
Space group Cmcm (No. 63)
Asymmetric unit:
Tl: 0.000 0.178 0.250 [4 per cell]
Ni: 0.000 0.500 0.000 [4 per cell]
B: 0.000 0.155 0.750 [4 per cell]
O: 0.000 0.264 0.568 [8 per cell]
O: 0.231 0.050 0.750 [8 per cell]